Y3ZrN4: theoretical XRD peak list (a wavelength of 1.5418 Å), based on a DFT-relaxed cell (GGA-PBE, Alexandria).
Peak positions follow from Bragg's law for the DFT cell and can differ from measured ones.

Cell and atoms:
```
data_Y3ZrN4
_chemical_formula_sum 'Y6 Zr2 N8'
_cell_length_a 6.843
_cell_length_b 9.641
_cell_length_c 3.408
_cell_angle_alpha 90.00
_cell_angle_beta 90.00
_cell_angle_gamma 90.00
_space_group_name_H-M_alt 'C m m m'
_space_group_IT_number 65
_space_group_name_Hall '-C 2 2'
loop_
_atom_site_label
_atom_site_type_symbol
_atom_site_fract_x
_atom_site_fract_y
_atom_site_fract_z
Y1 Y 0.000 0.000 0.000
Y2 Y 0.250 0.250 0.500
Zr1 Zr 0.000 0.500 0.000
N1 N 0.000 0.258 0.000
N2 N 0.237 0.500 0.500
```

Peak list (6 most intense, 2θ = 10–90°, by intensity)
- (2 2 0), 2θ 32.1, rel. 100
- (2 0 1), 2θ 37.3, rel. 90
- (0 0 2), 2θ 53.7, rel. 49
- (2 6 0), 2θ 64.0, rel. 28
- (4 2 1), 2θ 63.9, rel. 14
- (4 0 0), 2θ 53.6, rel. 10



Zr2ZnN3: theoretical XRD peak list (a wavelength of 1.5418 Å), based on a DFT-relaxed cell (GGA-PBE, Alexandria).
Peak positions follow from Bragg's law for the DFT cell and can differ from measured ones.

Cell and atoms:
```
data_Zr2ZnN3
_chemical_formula_sum 'Zr4 Zn2 N6'
_cell_length_a 3.691
_cell_length_b 6.369
_cell_length_c 7.958
_cell_angle_alpha 102.34
_cell_angle_beta 103.13
_cell_angle_gamma 99.98
_space_group_name_H-M_alt 'P -1'
_space_group_IT_number 2
_space_group_name_Hall '-P 1'
loop_
_atom_site_label
_atom_site_type_symbol
_atom_site_fract_x
_atom_site_fract_y
_atom_site_fract_z
Zr1 Zr 0.029 0.474 0.277
Zr2 Zr 0.276 0.196 0.944
Zn1 Zn 0.310 0.160 0.522
N1 N 0.122 0.842 0.347
N2 N 0.164 0.838 0.920
N3 N 0.467 0.511 0.161
```

Peak list (6 most intense, 2θ = 10–90°, by intensity)
- (1 1 0), 2θ 32.4, rel. 100
- (1 0 -2), 2θ 29.8, rel. 90
- (0 1 2), 2θ 31.3, rel. 79
- (0 1 -2), 2θ 24.5, rel. 78
- (1 -2 0), 2θ 34.4, rel. 63
- (0 3 0), 2θ 44.9, rel. 62



Zr3N4: theoretical XRD peak list (a wavelength of 1.5418 Å), based on a DFT-relaxed cell (GGA-PBE, Alexandria).
Peak positions follow from Bragg's law for the DFT cell and can differ from measured ones.

Cell and atoms:
```
data_Zr3N4
_chemical_formula_sum 'Zr12 N16'
_cell_length_a 9.904
_cell_length_b 3.301
_cell_length_c 10.900
_cell_angle_alpha 90.00
_cell_angle_beta 90.00
_cell_angle_gamma 90.00
_space_group_name_H-M_alt 'P n m a'
_space_group_IT_number 62
_space_group_name_Hall '-P 2ac 2n'
loop_
_atom_site_label
_atom_site_type_symbol
_atom_site_fract_x
_atom_site_fract_y
_atom_site_fract_z
Zr1 Zr 0.070 0.250 0.125
Zr2 Zr 0.107 0.250 0.593
Zr3 Zr 0.229 0.250 0.853
N1 N 0.006 0.250 0.775
N2 N 0.103 0.750 0.471
N3 N 0.143 0.750 0.982
N4 N 0.237 0.750 0.715
```

Peak list (6 most intense, 2θ = 10–90°, by intensity)
- (3 0 2), 2θ 31.7, rel. 100
- (1 1 2), 2θ 33.0, rel. 63
- (2 1 0), 2θ 32.6, rel. 41
- (2 1 4), 2θ 47.0, rel. 35
- (0 0 4), 2θ 32.9, rel. 30
- (1 1 3), 2θ 37.9, rel. 28



ZrN4: theoretical XRD peak list (a wavelength of 1.5418 Å), based on a DFT-relaxed cell (GGA-PBE, Alexandria).
Peak positions follow from Bragg's law for the DFT cell and can differ from measured ones.

Cell and atoms:
```
data_ZrN4
_chemical_formula_sum 'Zr1 N4'
_cell_length_a 4.360
_cell_length_b 4.360
_cell_length_c 4.360
_cell_angle_alpha 90.00
_cell_angle_beta 90.00
_cell_angle_gamma 90.00
_space_group_name_H-M_alt 'P m -3 m'
_space_group_IT_number 221
_space_group_name_Hall '-P 4 2 3'
loop_
_atom_site_label
_atom_site_type_symbol
_atom_site_fract_x
_atom_site_fract_y
_atom_site_fract_z
Zr1 Zr 0.000 0.000 0.000
N1 N 0.000 0.000 0.500
N2 N 0.500 0.500 0.500
```

Peak list (6 most intense, 2θ = 10–90°, by intensity)
- (1 0 0), 2θ 20.4, rel. 100
- (1 1 0), 2θ 29.0, rel. 82
- (2 1 0), 2θ 46.6, rel. 43
- (2 0 0), 2θ 41.4, rel. 36
- (2 1 1), 2θ 51.3, rel. 32
- (2 2 0), 2θ 60.0, rel. 21



Na: theoretical XRD peak list (a wavelength of 1.5418 Å), based on a DFT-relaxed cell (GGA-PBE, Alexandria).
Peak positions follow from Bragg's law for the DFT cell and can differ from measured ones.

Cell and atoms:
```
data_Na
_chemical_formula_sum 'Na16'
_cell_length_a 6.856
_cell_length_b 6.856
_cell_length_c 13.215
_cell_angle_alpha 90.00
_cell_angle_beta 90.00
_cell_angle_gamma 90.00
_space_group_name_H-M_alt 'I 41/a c d'
_space_group_IT_number 142
loop_
_space_group_symop_operation_xyz
'x,y,z'
'-x,-y,-z'
'-y+1/4,x+3/4,z+1/4'
'y+1/4,-x+3/4,-z+1/4'
'-x+1/2,-y,z+1/2'
'x+1/2,y,-z+1/2'
'y+1/4,-x+1/4,z+3/4'
'-y+1/4,x+1/4,-z+3/4'
'x,-y,-z+1/2'
'-x,y,z+1/2'
'-y+1/4,-x+1/4,-z+1/4'
'y+1/4,x+1/4,z+1/4'
'-x+1/2,y,-z'
'x+1/2,-y,z'
'y+1/4,x+3/4,-z+3/4'
'-y+1/4,-x+3/4,z+3/4'
'x+1/2,y+1/2,z+1/2'
'-x+1/2,-y+1/2,-z+1/2'
'-y+3/4,x+1/4,z+3/4'
'y+3/4,-x+1/4,-z+3/4'
'-x,-y+1/2,z'
'x,y+1/2,-z'
'y+3/4,-x+3/4,z+1/4'
'-y+3/4,x+3/4,-z+1/4'
'x+1/2,-y+1/2,-z'
'-x+1/2,y+1/2,z'
'-y+3/4,-x+3/4,-z+3/4'
'y+3/4,x+3/4,z+3/4'
'-x,y+1/2,-z+1/2'
'x,-y+1/2,z+1/2'
'y+3/4,x+1/4,-z+1/4'
'-y+3/4,-x+1/4,z+1/4'
loop_
_atom_site_label
_atom_site_type_symbol
_atom_site_fract_x
_atom_site_fract_y
_atom_site_fract_z
Na1 Na 0.179 0.071 0.125
```

Peak list (6 most intense, 2θ = 10–90°, by intensity)
- (2 1 1), 2θ 29.9, rel. 100
- (0 0 4), 2θ 27.0, rel. 67
- (2 1 3), 2θ 35.7, rel. 61
- (2 0 0), 2θ 26.0, rel. 59
- (2 0 4), 2θ 37.8, rel. 42
- (0 0 8), 2θ 55.7, rel. 32



Na: theoretical XRD peak list (a wavelength of 1.5418 Å), based on a DFT-relaxed cell (GGA-PBE, Alexandria).
Peak positions follow from Bragg's law for the DFT cell and can differ from measured ones.

Cell and atoms:
```
data_Na
_chemical_formula_sum 'Na2'
_cell_length_a 3.596
_cell_length_b 3.735
_cell_length_c 6.452
_cell_angle_alpha 82.58
_cell_angle_beta 73.89
_cell_angle_gamma 62.41
_space_group_name_H-M_alt 'P -1'
_space_group_IT_number 2
_space_group_name_Hall '-P 1'
loop_
_atom_site_label
_atom_site_type_symbol
_atom_site_fract_x
_atom_site_fract_y
_atom_site_fract_z
Na1 Na 0.126 0.250 0.249
```

Peak list (6 most intense, 2θ = 10–90°, by intensity)
- (0 1 1), 2θ 30.6, rel. 100
- (0 0 2), 2θ 28.8, rel. 59
- (1 0 1), 2θ 28.9, rel. 58
- (1 1 0), 2θ 29.4, rel. 56
- (1 0 -1), 2θ 35.6, rel. 34
- (1 1 2), 2θ 36.0, rel. 31